Record 1
For Tb8Nd2Sm3, a crystal structure in Alexandria, relaxed with PBE gives the computed X-ray diffraction stick pattern in this record (Cu Kα (λ = 1.5418 Å)).
Intensities are scaled so that the largest is 1000.

Most intense lines, 10 to 90 degrees two-theta, by angle:
2.936 Å, intensity 1000
2.933 Å, intensity 332
2.542 Å, intensity 675
1.798 Å, intensity 402
1.533 Å, intensity 382
1.532 Å, intensity 191
1.468 Å, intensity 124
1.137 Å, intensity 147

Structural model:
Lattice parameters (Å, degrees): 6.222 6.228 11.368 89.93 79.43 80.48
Fractional coordinates of all 13 atoms:
1 Tb 0.038 0.076 0.346
2 Tb 0.192 0.384 0.730
3 Tb 0.347 0.692 0.116
4 Tb 0.424 0.845 0.807
5 Tb 0.576 0.155 0.193
6 Tb 0.653 0.308 0.884
7 Tb 0.808 0.616 0.270
8 Tb 0.962 0.924 0.654
9 Nd 0.116 0.231 0.038
10 Nd 0.884 0.769 0.962
11 Sm 0.269 0.538 0.423
12 Sm 0.500 0.000 0.500
13 Sm 0.731 0.462 0.577


Record 2
For TbNd3Sm7, a crystal structure in Alexandria, relaxed with PBE gives the computed X-ray diffraction stick pattern in this record (Cu Kα (λ = 1.5418 Å)).
Intensities are scaled so that the largest is 1000.

Most intense lines, 10 to 90 degrees two-theta, by angle:
3.594 Å, intensity 186
3.196 Å, intensity 128
2.976 Å, intensity 405
2.841 Å, intensity 324
2.786 Å, intensity 1000
2.055 Å, intensity 257
1.679 Å, intensity 222
1.510 Å, intensity 191

Structural model:
Lattice parameters (Å, degrees): 8.570 8.570 8.570 139.35 97.00 96.86
Fractional coordinates of all 11 atoms:
1 Tb 0.000 0.000 0.000
2 Nd 0.290 0.500 0.790
3 Nd 0.500 0.000 0.500
4 Nd 0.710 0.500 0.210
5 Sm 0.000 0.500 0.500
6 Sm 0.097 0.800 0.297
7 Sm 0.292 0.292 0.000
8 Sm 0.497 0.200 0.297
9 Sm 0.503 0.800 0.703
10 Sm 0.708 0.708 0.000
11 Sm 0.903 0.200 0.703